1.
Structure and calculated XRD peak list of NaSb5O13 (a crystal structure in Alexandria, relaxed with GGA-PBE; Cu Kα (weighted mean of Kα1 and Kα2)).

Crystal structure
abc: 16.768 5.621 5.621
angles: 107.07 90.00 90.00
Element x y z (fractional)
Na1 0.250 0.130 0.870
Na2 0.750 0.870 0.130
Sb1 0.000 0.001 0.001
Sb2 0.080 0.387 0.615
Sb3 0.139 0.769 0.232
Sb4 0.361 0.769 0.232
Sb5 0.420 0.387 0.615
Sb6 0.500 0.001 0.001
Sb7 0.580 0.615 0.387
Sb8 0.639 0.232 0.769
Sb9 0.861 0.232 0.769
Sb10 0.920 0.615 0.387
O1 0.000 0.312 0.312
O2 0.000 0.690 0.690
O3 0.010 0.775 0.226
O4 0.115 0.987 0.014
O5 0.137 0.070 0.530
O6 0.137 0.471 0.931
O7 0.154 0.555 0.447
O8 0.250 0.831 0.170
O9 0.346 0.555 0.447
O10 0.363 0.070 0.530
O11 0.363 0.471 0.931
O12 0.385 0.987 0.014
O13 0.490 0.775 0.226
O14 0.500 0.312 0.312
O15 0.500 0.690 0.690
O16 0.510 0.226 0.775
O17 0.615 0.014 0.987
O18 0.637 0.530 0.070
O19 0.637 0.931 0.471
O20 0.654 0.447 0.555
O21 0.750 0.170 0.831
O22 0.846 0.447 0.555
O23 0.863 0.530 0.070
O24 0.863 0.931 0.471
O25 0.885 0.014 0.987
O26 0.990 0.226 0.775

Peak list (10 most intense, 5° ≤ 2θ ≤ 70°, low angle first)
2theta, d [Å], I/Imax
10.55, 8.384, 90
25.34, 3.515, 42
26.69, 3.340, 100
26.98, 3.305, 29
29.05, 3.074, 39
31.45, 2.845, 55
33.04, 2.711, 31
34.35, 2.611, 29
36.44, 2.465, 31
51.99, 1.759, 43



2.
Structure and calculated XRD peak list of U6O11 (a crystal structure in Alexandria, relaxed with GGA-PBE; Cu Kα (weighted mean of Kα1 and Kα2)).

Crystal structure
abc: 6.659 6.659 6.662
angles: 99.61 99.61 119.98
Element x y z (fractional)
U1 0.000 0.000 0.000
U2 0.179 0.827 0.482
U3 0.330 0.662 0.983
U4 0.481 0.481 0.481
U5 0.662 0.330 0.983
U6 0.827 0.179 0.482
O1 0.043 0.698 0.110
O2 0.109 0.109 0.368
O3 0.206 0.537 0.611
O4 0.267 0.949 0.847
O5 0.371 0.371 0.110
O6 0.475 0.793 0.373
O7 0.537 0.206 0.611
O8 0.634 0.634 0.852
O9 0.698 0.043 0.110
O10 0.793 0.475 0.373
O11 0.949 0.267 0.847

Peak list (7 most intense, 5° ≤ 2θ ≤ 70°, low angle first)
2theta, d [Å], I/Imax
28.43, 3.140, 100
32.94, 2.719, 38
47.28, 1.923, 47
56.08, 1.640, 31
56.10, 1.639, 15
58.82, 1.570, 11
69.09, 1.360, 7



3.
Structure and calculated XRD peak list of SmDy2Si2Pt7 (a crystal structure in Alexandria, relaxed with GGA-PBE; Cu Kα (weighted mean of Kα1 and Kα2)).

Crystal structure
abc: 4.059 4.059 13.833
angles: 96.25 96.25 89.40
Element x y z (fractional)
Sm1 0.000 0.000 0.000
Dy1 0.117 0.117 0.358
Dy2 0.883 0.883 0.642
Si1 0.403 0.403 0.741
Si2 0.597 0.597 0.259
Pt1 0.062 0.562 0.165
Pt2 0.366 0.366 0.571
Pt3 0.438 0.938 0.835
Pt4 0.500 0.500 0.000
Pt5 0.562 0.062 0.165
Pt6 0.634 0.634 0.429
Pt7 0.938 0.438 0.835

Peak list (10 most intense, 5° ≤ 2θ ≤ 70°, low angle first)
2theta, d [Å], I/Imax
6.47, 13.670, 49
32.05, 2.793, 43
32.76, 2.734, 40
34.03, 2.635, 50
34.46, 2.603, 67
35.93, 2.499, 85
36.24, 2.479, 23
37.16, 2.420, 100
44.69, 2.028, 85
44.93, 2.018, 27



4.
Structure and calculated XRD peak list of Eu6P19Rh30 (a crystal structure in Alexandria, relaxed with GGA-PBE; Cu Kα (weighted mean of Kα1 and Kα2)).

Crystal structure
abc: 15.704 15.704 3.852
angles: 90.00 90.00 120.00
Element x y z (fractional)
Eu1 0.037 0.273 0.000
Eu2 0.236 0.963 0.000
Eu3 0.431 0.370 0.499
Eu4 0.630 0.061 0.499
Eu5 0.727 0.764 0.000
Eu6 0.939 0.569 0.499
P1 0.016 0.117 0.499
P2 0.077 0.549 0.996
P3 0.101 0.984 0.499
P4 0.194 0.411 0.503
P5 0.216 0.806 0.503
P6 0.271 0.234 0.999
P7 0.333 0.667 0.248
P8 0.395 0.099 0.500
P9 0.451 0.528 0.996
P10 0.472 0.923 0.996
P11 0.565 0.349 0.000
P12 0.589 0.784 0.503
P13 0.651 0.216 0.000
P14 0.704 0.605 0.500
P15 0.766 0.037 0.999
P16 0.784 0.435 0.000
P17 0.883 0.899 0.499
P18 0.901 0.296 0.500
P19 0.963 0.729 0.999
Rh1 0.058 0.439 0.503
Rh2 0.071 0.820 0.497
Rh3 0.106 0.715 0.996
Rh4 0.110 0.095 0.998
Rh5 0.180 0.251 0.497
Rh6 0.186 0.644 0.497
Rh7 0.208 0.519 0.002
Rh8 0.260 0.129 0.499
Rh9 0.285 0.391 0.996
Rh10 0.311 0.792 0.002
Rh11 0.356 0.541 0.497
Rh12 0.381 0.942 0.503
Rh13 0.407 0.204 0.000
Rh14 0.459 0.814 0.497
Rh15 0.481 0.689 0.002
Rh16 0.487 0.082 0.002
Rh17 0.556 0.239 0.501
Rh18 0.561 0.619 0.503
Rh19 0.595 0.513 0.002
Rh20 0.609 0.894 0.996
Rh21 0.682 0.444 0.501
Rh22 0.749 0.929 0.497
Rh23 0.761 0.318 0.501
Rh24 0.796 0.203 0.000
Rh25 0.797 0.593 0.000
Rh26 0.869 0.740 0.499
Rh27 0.871 0.131 0.499
Rh28 0.905 0.015 0.998
Rh29 0.918 0.405 0.002
Rh30 0.985 0.890 0.998

Peak list (10 most intense, 5° ≤ 2θ ≤ 70°, low angle first)
2theta, d [Å], I/Imax
28.61, 3.120, 15
28.97, 3.083, 7
34.91, 2.570, 6
35.21, 2.549, 8
37.08, 2.425, 100
41.46, 2.178, 7
46.75, 1.943, 10
47.19, 1.926, 18
50.68, 1.801, 18
64.44, 1.446, 7



5.
Structure and calculated XRD peak list of Np2BiH2 (a crystal structure in Alexandria, relaxed with GGA-PBE; Cu Kα (weighted mean of Kα1 and Kα2)).

Crystal structure
abc: 4.157 4.157 10.009
angles: 90.00 90.00 90.00
Element x y z (fractional)
Np1 0.000 0.000 0.158
Np2 0.000 0.000 0.842
Np3 0.500 0.500 0.342
Np4 0.500 0.500 0.658
Bi1 0.000 0.000 0.500
Bi2 0.500 0.500 0.000
H1 0.000 0.500 0.250
H2 0.000 0.500 0.750
H3 0.500 0.000 0.250
H4 0.500 0.000 0.750

Peak list (10 most intense, 5° ≤ 2θ ≤ 70°, low angle first)
2theta, d [Å], I/Imax
23.17, 3.839, 1
30.41, 2.940, 70
34.47, 2.602, 100
43.54, 2.079, 27
47.73, 1.905, 1
55.05, 1.668, 6
56.68, 1.624, 50
63.27, 1.470, 9
64.20, 1.451, 16
69.53, 1.352, 1



6.
Structure and calculated XRD peak list of Ca2Hg3Au2 (a crystal structure in Alexandria, relaxed with GGA-PBE; Cu Kα (weighted mean of Kα1 and Kα2)).

Crystal structure
abc: 10.747 4.287 7.554
angles: 90.00 94.62 90.00
Element x y z (fractional)
Ca1 0.114 0.000 0.329
Ca2 0.386 0.500 0.671
Ca3 0.614 0.500 0.329
Ca4 0.886 0.000 0.671
Hg1 0.000 0.500 0.000
Hg2 0.204 0.000 0.857
Hg3 0.296 0.500 0.143
Hg4 0.500 0.000 0.000
Hg5 0.704 0.500 0.857
Hg6 0.796 0.000 0.143
Au1 0.100 0.500 0.628
Au2 0.400 0.000 0.372
Au3 0.600 0.000 0.628
Au4 0.900 0.500 0.372

Peak list (10 most intense, 5° ≤ 2θ ≤ 70°, low angle first)
2theta, d [Å], I/Imax
19.55, 4.541, 43
22.34, 3.980, 35
32.24, 2.777, 100
32.64, 2.744, 21
34.63, 2.590, 25
35.51, 2.528, 93
39.70, 2.270, 22
40.92, 2.205, 30
42.16, 2.143, 35
60.21, 1.537, 19



7.
Structure and calculated XRD peak list of Tb6Bi2C (a crystal structure in Alexandria, relaxed with GGA-PBE; Cu Kα (weighted mean of Kα1 and Kα2)).

Crystal structure
abc: 6.998 6.998 9.880
angles: 90.00 90.00 90.00
Element x y z (fractional)
Tb1 0.000 0.000 0.246
Tb2 0.000 0.000 0.754
Tb3 0.245 0.246 0.000
Tb4 0.246 0.755 0.000
Tb5 0.254 0.255 0.500
Tb6 0.255 0.746 0.500
Tb7 0.500 0.500 0.254
Tb8 0.500 0.500 0.746
Tb9 0.745 0.254 0.500
Tb10 0.746 0.745 0.500
Tb11 0.754 0.245 0.000
Tb12 0.755 0.754 0.000
Bi1 0.000 0.500 0.250
Bi2 0.000 0.500 0.750
Bi3 0.500 0.000 0.250
Bi4 0.500 0.000 0.750
C1 0.000 0.000 0.000
C2 0.500 0.500 0.500

Peak list (9 most intense, 5° ≤ 2θ ≤ 70°, low angle first)
2theta, d [Å], I/Imax
17.94, 4.945, 1
25.47, 3.497, 2
31.33, 2.855, 100
36.33, 2.473, 52
40.80, 2.212, 1
44.90, 2.019, 1
52.32, 1.748, 37
62.26, 1.491, 43
65.37, 1.428, 13



8.
Structure and calculated XRD peak list of ErTiCo11 (a crystal structure in Alexandria, relaxed with GGA-PBE; Cu Kα (weighted mean of Kα1 and Kα2)).

Crystal structure
abc: 6.323 6.323 6.323
angles: 136.62 97.78 97.92
Element x y z (fractional)
Er1 0.000 0.000 0.000
Ti1 0.623 0.623 0.000
Co1 0.208 0.492 0.716
Co2 0.218 0.718 0.500
Co3 0.346 0.346 0.000
Co4 0.349 0.991 0.358
Co5 0.493 0.493 0.496
Co6 0.493 0.997 0.999
Co7 0.634 0.991 0.642
Co8 0.773 0.273 0.500
Co9 0.776 0.492 0.284
Co10 0.998 0.493 0.001
Co11 0.998 0.997 0.504

Peak list (10 most intense, 5° ≤ 2θ ≤ 70°, low angle first)
2theta, d [Å], I/Imax
30.74, 2.909, 37
34.12, 2.628, 13
37.75, 2.383, 45
38.52, 2.337, 16
43.57, 2.077, 57
43.80, 2.067, 100
44.48, 2.037, 70
49.03, 1.858, 11
49.86, 1.829, 23
64.02, 1.454, 12



9.
Structure and calculated XRD peak list of MgNiHgAu (a crystal structure in Alexandria, relaxed with GGA-PBE; Cu Kα (weighted mean of Kα1 and Kα2)).

Crystal structure
abc: 6.458 6.458 6.458
angles: 90.00 90.00 90.00
Element x y z (fractional)
Mg1 0.000 0.000 0.000
Mg2 0.000 0.500 0.500
Mg3 0.500 0.000 0.500
Mg4 0.500 0.500 0.000
Ni1 0.000 0.000 0.500
Ni2 0.000 0.500 0.000
Ni3 0.500 0.000 0.000
Ni4 0.500 0.500 0.500
Hg1 0.250 0.250 0.750
Hg2 0.250 0.750 0.250
Hg3 0.750 0.250 0.250
Hg4 0.750 0.750 0.750
Au1 0.250 0.250 0.250
Au2 0.250 0.750 0.750
Au3 0.750 0.250 0.750
Au4 0.750 0.750 0.250

Peak list (7 most intense, 5° ≤ 2θ ≤ 70°, low angle first)
2theta, d [Å], I/Imax
23.87, 3.728, 2
27.63, 3.229, 49
39.47, 2.283, 100
46.65, 1.947, 1
48.85, 1.864, 15
57.04, 1.614, 17
64.53, 1.444, 20



10.
Structure and calculated XRD peak list of K2RbAl3F12 (a crystal structure in Alexandria, relaxed with GGA-PBE; Cu Kα (weighted mean of Kα1 and Kα2)).

Crystal structure
abc: 7.355 7.355 7.355
angles: 58.23 58.23 58.23
Element x y z (fractional)
K1 0.130 0.130 0.130
K2 0.870 0.870 0.870
Rb1 0.500 0.500 0.500
Al1 0.000 0.500 0.500
Al2 0.500 0.000 0.500
Al3 0.500 0.500 0.000
F1 0.044 0.621 0.621
F2 0.223 0.223 0.598
F3 0.223 0.598 0.223
F4 0.379 0.379 0.956
F5 0.379 0.956 0.379
F6 0.402 0.777 0.777
F7 0.598 0.223 0.223
F8 0.621 0.044 0.621
F9 0.621 0.621 0.044
F10 0.777 0.402 0.777
F11 0.777 0.777 0.402
F12 0.956 0.379 0.379

Peak list (10 most intense, 5° ≤ 2θ ≤ 70°, low angle first)
2theta, d [Å], I/Imax
15.10, 5.869, 65
24.88, 3.579, 18
28.37, 3.146, 19
28.95, 3.085, 100
30.46, 2.935, 24
38.09, 2.363, 37
39.72, 2.269, 26
42.21, 2.141, 17
46.41, 1.956, 40
51.04, 1.789, 36



11.
Structure and calculated XRD peak list of SrIn2I2Br2 (a crystal structure in Alexandria, relaxed with GGA-PBE; Cu Kα (weighted mean of Kα1 and Kα2)).

Crystal structure
abc: 16.018 4.702 9.122
angles: 90.00 120.13 90.00
Element x y z (fractional)
Sr1 0.000 0.000 0.000
Sr2 0.500 0.500 0.000
In1 0.137 0.000 0.561
In2 0.363 0.500 0.439
In3 0.637 0.500 0.561
In4 0.863 0.000 0.439
I1 0.038 0.500 0.784
I2 0.462 0.000 0.216
I3 0.538 0.000 0.784
I4 0.962 0.500 0.216
Br1 0.208 0.000 0.292
Br2 0.292 0.500 0.708
Br3 0.708 0.500 0.292
Br4 0.792 0.000 0.708

Peak list (10 most intense, 5° ≤ 2θ ≤ 70°, low angle first)
2theta, d [Å], I/Imax
20.88, 4.253, 51
24.49, 3.635, 46
25.29, 3.521, 43
27.06, 3.295, 90
27.69, 3.222, 100
28.41, 3.142, 85
30.68, 2.914, 43
33.04, 2.711, 80
34.22, 2.620, 60
38.29, 2.351, 56



12.
Structure and calculated XRD peak list of SrPm2Te3 (a crystal structure in Alexandria, relaxed with GGA-PBE; Cu Kα (weighted mean of Kα1 and Kα2)).

Crystal structure
abc: 4.512 6.419 13.719
angles: 90.00 90.00 90.00
Element x y z (fractional)
Sr1 0.000 0.000 0.000
Sr2 0.500 0.500 0.500
Pm1 0.000 0.000 0.337
Pm2 0.000 0.000 0.663
Pm3 0.500 0.500 0.163
Pm4 0.500 0.500 0.837
Te1 0.000 0.500 0.000
Te2 0.000 0.500 0.328
Te3 0.000 0.500 0.672
Te4 0.500 0.000 0.172
Te5 0.500 0.000 0.500
Te6 0.500 0.000 0.828

Peak list (10 most intense, 5° ≤ 2θ ≤ 70°, low angle first)
2theta, d [Å], I/Imax
27.78, 3.211, 100
39.41, 2.286, 13
39.70, 2.270, 51
39.96, 2.256, 13
48.91, 1.862, 14
49.38, 1.846, 14
57.39, 1.605, 13
64.53, 1.444, 6
64.95, 1.436, 23
65.31, 1.429, 6